Mg3Mn4O7: calculated powder diffraction line list (CuKα), based on a DFT-relaxed cell (PBE+U, Alexandria).

Atomic structure:
```
data_Mg3Mn4O7
_chemical_formula_sum 'Mg6 Mn8 O14'
_cell_length_a 3.119
_cell_length_b 4.414
_cell_length_c 21.886
_cell_angle_alpha 90.00
_cell_angle_beta 90.00
_cell_angle_gamma 90.00
_space_group_name_H-M_alt 'I m m m'
_space_group_IT_number 71
_space_group_name_Hall '-I 2 2'
loop_
_atom_site_label
_atom_site_fract_x
_atom_site_fract_y
_atom_site_fract_z
Mg1 0.000 0.000 0.000
Mg2 0.000 0.000 0.141
Mn1 0.000 0.000 0.285
Mn2 0.000 0.000 0.429
O1 0.000 0.500 0.000
O2 0.000 0.500 0.143
O3 0.000 0.500 0.291
O4 0.000 0.500 0.430
```

The 6 most intense peaks (2θ from 10° to 80°), low angle first:
two_theta	I_rel
20.52	11
35.20	42
40.87	100
59.17	48
59.25	10
70.74	12